# 1
Diffraction record for SrTeP2Se8. The powder diffraction line list is computed, not measured: it uses a cell relaxed with GGA-PBE and Cu Kα, 1.54184 Å.
Neutral-atom scattering factors, no anomalous dispersion.

Largest 10 diffraction maxima, by intensity, 2θ from 15° to 90°:
| d/Å | I (rel.) |
| --- | --- |
| 2.618 | 100 |
| 2.986 | 85 |
| 1.887 | 46 |
| 3.145 | 44 |
| 1.817 | 37 |
| 3.926 | 22 |
| 1.573 | 18 |
| 4.318 | 15 |
| 1.493 | 14 |
| 1.189 | 13 |

Cell and atoms:
```
SrTeP2Se8
1.0
3.148 1.817 9.429
-3.148 1.817 9.429
0.000 -3.635 9.429
Sr Te P Se
1 1 2 8
Direct
0.000 0.000 0.000 Sr
0.500 0.500 0.500 Te
0.253 0.253 0.253 P
0.747 0.747 0.747 P
0.088 0.406 0.822 Se
0.178 0.912 0.594 Se
0.330 0.330 0.330 Se
0.406 0.822 0.088 Se
0.594 0.178 0.912 Se
0.670 0.670 0.670 Se
0.822 0.088 0.406 Se
0.912 0.594 0.178 Se
```

***

# 2
Diffraction record for SrZrP2Se8. The powder diffraction line list is computed, not measured: it uses a cell relaxed with GGA-PBE and Cu Kα, 1.54184 Å.
Neutral-atom scattering factors, no anomalous dispersion.

Largest 10 diffraction maxima, by intensity, 2θ from 15° to 90°:
| d/Å | I (rel.) |
| --- | --- |
| 3.005 | 100 |
| 2.612 | 95 |
| 1.837 | 43 |
| 1.857 | 42 |
| 3.049 | 32 |
| 1.573 | 25 |
| 1.503 | 17 |
| 3.519 | 16 |
| 4.720 | 15 |
| 1.163 | 14 |

Cell and atoms:
```
SrZrP2Se8
1.0
6.364 0.000 0.000
-3.182 5.511 0.000
0.000 0.000 9.146
Sr Zr P Se
1 1 2 8
Direct
0.000 0.000 0.000 Sr
0.000 0.000 0.500 Zr
0.333 0.667 0.747 P
0.667 0.333 0.253 P
0.015 0.671 0.320 Se
0.329 0.344 0.320 Se
0.333 0.667 0.984 Se
0.344 0.015 0.680 Se
0.656 0.985 0.320 Se
0.667 0.333 0.016 Se
0.671 0.656 0.680 Se
0.985 0.329 0.680 Se
```

***

# 3
Diffraction record for Ta2PSe. The powder diffraction line list is computed, not measured: it uses a cell relaxed with GGA-PBE and Cu Kα, 1.54184 Å.
Neutral-atom scattering factors, no anomalous dispersion.

Largest 10 diffraction maxima, by intensity, 2θ from 15° to 90°:
| d/Å | I (rel.) |
| --- | --- |
| 2.237 | 100 |
| 2.375 | 73 |
| 2.930 | 55 |
| 1.343 | 39 |
| 1.679 | 25 |
| 1.457 | 14 |
| 1.369 | 13 |
| 1.529 | 13 |
| 1.862 | 13 |
| 2.999 | 12 |

Cell and atoms:
```
Ta2PSe
1.0
3.358 0.000 0.000
0.000 3.358 0.000
0.000 0.000 5.998
Ta P Se
2 1 1
Direct
0.000 0.000 0.000 Ta
0.500 0.500 0.319 Ta
0.000 0.000 0.458 P
0.500 0.500 0.796 Se
```

***

# 4
Diffraction record for TaP2Se6. The powder diffraction line list is computed, not measured: it uses a cell relaxed with GGA-PBE and Cu Kα, 1.54184 Å.
Neutral-atom scattering factors, no anomalous dispersion.

Largest 10 diffraction maxima, by intensity, 2θ from 15° to 90°:
| d/Å | I (rel.) |
| --- | --- |
| 2.958 | 100 |
| 5.436 | 55 |
| 2.413 | 46 |
| 1.872 | 29 |
| 1.934 | 27 |
| 4.987 | 27 |
| 3.901 | 17 |
| 3.615 | 17 |
| 2.082 | 16 |
| 2.357 | 13 |

Cell and atoms:
```
TaP2Se6
1.0
3.242 1.872 7.230
-3.242 1.872 7.230
0.000 -3.744 7.230
Ta P Se
1 2 6
Direct
0.000 0.000 0.000 Ta
0.622 0.622 0.622 P
0.724 0.724 0.724 P
0.049 0.817 0.395 Se
0.251 0.605 0.946 Se
0.395 0.049 0.817 Se
0.605 0.946 0.251 Se
0.817 0.395 0.049 Se
0.946 0.251 0.605 Se
```

***

# 5
Diffraction record for TaP3Se4. The powder diffraction line list is computed, not measured: it uses a cell relaxed with GGA-PBE and Cu Kα, 1.54184 Å.
Neutral-atom scattering factors, no anomalous dispersion.

Largest 10 diffraction maxima, by intensity, 2θ from 15° to 90°:
| d/Å | I (rel.) |
| --- | --- |
| 2.430 | 100 |
| 3.842 | 68 |
| 3.137 | 56 |
| 1.921 | 55 |
| 1.811 | 48 |
| 2.218 | 43 |
| 1.318 | 29 |
| 1.281 | 27 |
| 1.452 | 27 |
| 1.186 | 21 |

Cell and atoms:
```
TaP3Se4
1.0
5.433 0.000 0.000
0.000 5.433 0.000
0.000 0.000 5.433
Ta P Se
1 3 4
Direct
0.000 0.000 0.000 Ta
0.000 0.000 0.500 P
0.000 0.500 0.000 P
0.500 0.000 0.000 P
0.309 0.309 0.309 Se
0.309 0.691 0.691 Se
0.691 0.309 0.691 Se
0.691 0.691 0.309 Se
```

***

# 6
Diffraction record for Tb6P5Se. The powder diffraction line list is computed, not measured: it uses a cell relaxed with GGA-PBE and Cu Kα, 1.54184 Å.
Neutral-atom scattering factors, no anomalous dispersion.

Largest 10 diffraction maxima, by intensity, 2θ from 15° to 90°:
| d/Å | I (rel.) |
| --- | --- |
| 2.857 | 100 |
| 2.020 | 73 |
| 3.299 | 69 |
| 1.278 | 32 |
| 1.649 | 25 |
| 1.166 | 24 |
| 1.723 | 22 |
| 1.428 | 12 |
| 1.722 | 11 |
| 1.311 | 11 |

Cell and atoms:
```
Tb6P5Se
1.0
3.500 -6.056 0.000
3.500 6.056 0.000
-2.334 0.000 6.600
Tb P Se
6 5 1
Direct
0.073 0.415 0.745 Tb
0.243 0.243 0.255 Tb
0.415 0.073 0.745 Tb
0.585 0.927 0.255 Tb
0.757 0.757 0.745 Tb
0.927 0.585 0.255 Tb
0.000 0.000 0.500 P
0.167 0.833 0.000 P
0.336 0.664 0.500 P
0.664 0.336 0.500 P
0.833 0.167 0.000 P
0.500 0.500 0.000 Se
```

***

# 7
Diffraction record for Tb3TePSe. The powder diffraction line list is computed, not measured: it uses a cell relaxed with GGA-PBE and Cu Kα, 1.54184 Å.
Neutral-atom scattering factors, no anomalous dispersion.

Largest 10 diffraction maxima, by intensity, 2θ from 15° to 90°:
| d/Å | I (rel.) |
| --- | --- |
| 2.789 | 100 |
| 2.433 | 83 |
| 3.021 | 82 |
| 2.985 | 81 |
| 3.127 | 76 |
| 1.833 | 45 |
| 3.666 | 43 |
| 3.932 | 42 |
| 2.374 | 41 |
| 2.042 | 40 |

Cell and atoms:
```
Tb3TePSe
1.0
3.481 -7.296 0.000
3.481 7.296 0.000
-2.074 0.000 6.543
Tb Te P Se
6 2 2 2
Direct
0.166 0.303 0.998 Tb
0.245 0.755 0.750 Tb
0.303 0.166 0.498 Tb
0.697 0.834 0.502 Tb
0.755 0.245 0.250 Tb
0.834 0.697 0.002 Tb
0.251 0.749 0.250 Te
0.749 0.251 0.750 Te
0.062 0.938 0.750 P
0.938 0.062 0.250 P
0.438 0.562 0.750 Se
0.562 0.438 0.250 Se
```

***

# 8
Diffraction record for Th8TcP3Se4. The powder diffraction line list is computed, not measured: it uses a cell relaxed with GGA-PBE and Cu Kα, 1.54184 Å.
Neutral-atom scattering factors, no anomalous dispersion.

Largest 10 diffraction maxima, by intensity, 2θ from 15° to 90°:
| d/Å | I (rel.) |
| --- | --- |
| 2.968 | 100 |
| 3.413 | 43 |
| 2.086 | 38 |
| 2.113 | 35 |
| 1.707 | 20 |
| 1.321 | 17 |
| 1.334 | 14 |
| 3.472 | 14 |
| 1.788 | 14 |
| 1.209 | 12 |

Cell and atoms:
```
Th8TcP3Se4
1.0
4.171 2.408 6.945
-4.171 2.408 6.945
0.000 -4.817 6.945
Th Tc P Se
8 1 3 4
Direct
0.243 0.243 0.243 Th
0.249 0.739 0.739 Th
0.261 0.261 0.751 Th
0.261 0.751 0.261 Th
0.739 0.249 0.739 Th
0.739 0.739 0.249 Th
0.751 0.261 0.261 Th
0.757 0.757 0.757 Th
0.500 0.500 0.500 Tc
0.000 0.000 0.500 P
0.000 0.500 0.000 P
0.500 0.000 0.000 P
0.000 0.000 0.000 Se
0.000 0.500 0.500 Se
0.500 0.000 0.500 Se
0.500 0.500 0.000 Se
```